Diffraction record for K4Cu4Cl10O. The powder diffractogram is simulated, not measured: it uses a cell relaxed with PBE and Cu Kα (λ = 1.5418 Å).
Kinematic intensities with the Lorentz-polarization factor, no thermal factor.

Crystal structure
a b c (Å): 10.577 10.577 9.035
angles (deg): 100.06 100.06 90.66
Fractional coordinates of all 38 atoms:
K1 0.057 0.205 0.136
K2 0.205 0.057 0.636
K3 0.213 0.469 0.624
K4 0.469 0.213 0.124
K5 0.531 0.787 0.876
K6 0.787 0.531 0.376
K7 0.795 0.943 0.364
K8 0.943 0.795 0.864
Cu1 0.147 0.728 0.373
Cu2 0.268 0.548 0.115
Cu3 0.272 0.853 0.127
Cu4 0.452 0.732 0.385
Cu5 0.548 0.268 0.615
Cu6 0.728 0.147 0.873
Cu7 0.732 0.452 0.885
Cu8 0.853 0.272 0.627
Cl1 0.005 0.239 0.481
Cl2 0.088 0.912 0.250
Cl3 0.101 0.511 0.276
Cl4 0.223 0.674 0.918
Cl5 0.234 0.354 0.959
Cl6 0.239 0.005 0.981
Cl7 0.326 0.777 0.582
Cl8 0.354 0.234 0.459
Cl9 0.479 0.521 0.250
Cl10 0.489 0.899 0.224
Cl11 0.511 0.101 0.776
Cl12 0.521 0.479 0.750
Cl13 0.646 0.766 0.541
Cl14 0.674 0.223 0.418
Cl15 0.761 0.995 0.019
Cl16 0.766 0.646 0.041
Cl17 0.777 0.326 0.082
Cl18 0.899 0.489 0.724
Cl19 0.912 0.088 0.750
Cl20 0.995 0.761 0.519
O1 0.281 0.719 0.250
O2 0.719 0.281 0.750

Most intense lines, 2θ from 10° to 80°, low angle first:
d 7.522, 2θ = 11.8°, I 66; d 7.382, 2θ = 12.0°, I 100; d 7.203, 2θ = 12.3°, I 71; d 6.174, 2θ = 14.3°, I 93; d 3.691, 2θ = 24.1°, I 55; d 2.845, 2θ = 31.4°, I 75; d 2.812, 2θ = 31.8°, I 56; d 2.508, 2θ = 35.8°, I 49; d 2.462, 2θ = 36.5°, I 55; d 1.762, 2θ = 51.9°, I 54